No. 1
# Zr2Hg
Theoretical XRD peak list, λ = 1.5418 Å (Cu Kα). Input: a crystal structure in Alexandria, relaxed with GGA-PBE.

Principal peaks in the range 10° ≤ 2θ ≤ 80°, in order of falling intensity:
2θ (°)	d [Å]	I_rel
32.93	2.720	100
36.53	2.460	89
41.64	2.169	80
12.54	7.057	57
38.26	2.352	39
30.32	2.948	35
62.55	1.485	31
40.90	2.206	28
52.83	1.733	27
71.93	1.313	24
73.03	1.296	23
69.76	1.348	23

Atomic structure:
Cell lengths 14.2844, 14.2844, 14.2844 Å; angles 167.52, 167.52, 17.68 degrees
Fractional coordinates of all 6 atoms:
Zr: 0.2960 0.5460 0.7500
Zr: 0.4540 0.7040 0.7500
Zr: 0.5460 0.2960 0.2500
Zr: 0.7040 0.4540 0.2500
Hg: 0.1250 0.8750 0.2500
Hg: 0.8750 0.1250 0.7500

***

No. 2
# Zr5Hg6
Theoretical XRD peak list, λ = 1.5418 Å (Cu Kα). Input: a crystal structure in Alexandria, relaxed with GGA-PBE.

Principal peaks in the range 10° ≤ 2θ ≤ 80°, in order of falling intensity:
2θ (°)	d [Å]	I_rel
36.24	2.479	100
37.19	2.417	33
26.84	3.322	30
34.25	2.618	21
39.42	2.286	19
66.44	1.407	17
36.80	2.443	16
55.31	1.661	14
71.81	1.315	12
53.32	1.718	11
72.90	1.298	11
23.90	3.723	11

Atomic structure:
Cell lengths 8.1690, 8.1690, 8.1690 Å; angles 145.57, 125.77, 65.83 degrees
Fractional coordinates of all 11 atoms:
Zr: 0.0000 0.0000 0.0000
Zr: 0.1458 0.6458 0.5000
Zr: 0.3006 0.3006 0.0000
Zr: 0.6994 0.6994 0.0000
Zr: 0.8542 0.3542 0.5000
Hg: 0.1375 0.8487 0.2888
Hg: 0.3041 0.5000 0.8041
Hg: 0.4401 0.1513 0.2888
Hg: 0.5599 0.8487 0.7112
Hg: 0.6959 0.5000 0.1959
Hg: 0.8625 0.1513 0.7112

***

No. 3
# ZrHg7
Theoretical XRD peak list, λ = 1.5418 Å (Cu Kα). Input: a crystal structure in Alexandria, relaxed with GGA-PBE.

Principal peaks in the range 10° ≤ 2θ ≤ 80°, in order of falling intensity:
2θ (°)	d [Å]	I_rel
33.94	2.641	100
39.39	2.288	50
67.96	1.379	41
56.93	1.618	35
71.43	1.321	12
16.78	5.283	3
32.45	2.759	2
19.40	4.575	1
27.57	3.235	1
43.09	2.099	1
44.27	2.046	1
59.79	1.547	1

Atomic structure:
Cell lengths 6.4701, 6.4701, 6.4701 Å; angles 60.00, 60.00, 60.00 degrees
Fractional coordinates of all 8 atoms:
Zr: 0.0000 0.0000 0.0000
Hg: 0.0000 0.0000 0.5000
Hg: 0.0000 0.5000 0.0000
Hg: 0.0000 0.5000 0.5000
Hg: 0.5000 0.0000 0.0000
Hg: 0.5000 0.0000 0.5000
Hg: 0.5000 0.5000 0.0000
Hg: 0.5000 0.5000 0.5000

***

No. 4
# ZrHg5
Theoretical XRD peak list, λ = 1.5418 Å (Cu Kα). Input: a crystal structure in Alexandria, relaxed with GGA-PBE.

Principal peaks in the range 10° ≤ 2θ ≤ 80°, in order of falling intensity:
2θ (°)	d [Å]	I_rel
34.32	2.613	100
37.64	2.390	40
65.82	1.419	31
59.21	1.560	20
54.29	1.690	14
43.95	2.060	12
72.32	1.307	11
74.58	1.272	9
30.14	2.965	4
53.32	1.718	2
66.54	1.405	2
27.36	3.260	2

Atomic structure:
Cell lengths 3.3796, 3.3796, 12.3621 Å; angles 90.00, 90.00, 90.00 degrees
Fractional coordinates of all 6 atoms:
Zr: 0.0000 0.0000 0.0000
Hg: 0.0000 0.0000 0.3280
Hg: 0.0000 0.0000 0.6720
Hg: 0.5000 0.5000 0.1558
Hg: 0.5000 0.5000 0.5000
Hg: 0.5000 0.5000 0.8442

***

No. 5
# Zr5Hg
Theoretical XRD peak list, λ = 1.5418 Å (Cu Kα). Input: a crystal structure in Alexandria, relaxed with GGA-PBE.

Principal peaks in the range 10° ≤ 2θ ≤ 80°, in order of falling intensity:
2θ (°)	d [Å]	I_rel
34.67	2.587	100
39.49	2.282	17
40.42	2.231	16
40.81	2.211	16
68.53	1.369	13
69.82	1.347	13
70.36	1.338	12
57.79	1.595	11
58.09	1.588	11
73.15	1.294	11
58.79	1.571	11
12.93	6.846	6

Atomic structure:
Cell lengths 7.2003, 7.2003, 4.4220 Å; angles 90.00, 90.00, 143.89 degrees
Fractional coordinates of all 6 atoms:
Zr: 0.0000 0.0000 0.0000
Zr: 0.1668 0.8332 0.5000
Zr: 0.3352 0.6648 0.0000
Zr: 0.6648 0.3352 0.0000
Zr: 0.8332 0.1668 0.5000
Hg: 0.5000 0.5000 0.5000

***

No. 6
# Zr2Hg
Theoretical XRD peak list, λ = 1.5418 Å (Cu Kα). Input: a crystal structure in Alexandria, relaxed with GGA-PBE.

Principal peaks in the range 10° ≤ 2θ ≤ 80°, in order of falling intensity:
2θ (°)	d [Å]	I_rel
41.13	2.195	100
36.58	2.456	82
32.90	2.722	48
18.09	4.903	43
62.79	1.480	22
25.69	3.467	22
65.94	1.417	21
77.90	1.226	13
59.63	1.551	13
49.08	1.856	13
69.03	1.361	13
56.98	1.616	9

Atomic structure:
Cell lengths 5.6668, 5.6668, 5.6668 Å; angles 104.55, 104.55, 119.83 degrees
Fractional coordinates of all 6 atoms:
Zr: 0.1497 0.6497 0.7994
Zr: 0.3503 0.1497 0.5000
Zr: 0.6497 0.8503 0.5000
Zr: 0.8503 0.3503 0.2006
Hg: 0.2500 0.2500 0.0000
Hg: 0.7500 0.7500 0.0000

***

No. 7
# HoI2
Theoretical XRD peak list, λ = 1.5418 Å (Cu Kα). Input: a crystal structure in Alexandria, relaxed with GGA-PBE.

Principal peaks in the range 10° ≤ 2θ ≤ 80°, in order of falling intensity:
2θ (°)	d [Å]	I_rel
10.75	8.229	100
44.57	2.033	53
31.72	2.821	48
25.84	3.447	46
35.36	2.538	44
33.47	2.677	41
28.72	3.108	34
30.13	2.966	28
56.82	1.620	26
44.02	2.057	23
25.41	3.506	22
27.52	3.241	20

Atomic structure:
Cell lengths 4.0712, 4.0712, 32.9156 Å; angles 90.00, 90.00, 120.00 degrees
Fractional coordinates of all 12 atoms:
Ho: 0.2403 0.2426 0.1237
Ho: 0.2426 0.2403 0.8763
Ho: 0.7574 0.7597 0.3763
Ho: 0.7597 0.7574 0.6237
I: 0.0906 0.4264 0.3151
I: 0.0907 0.4265 0.4375
I: 0.4264 0.0906 0.6849
I: 0.4265 0.0907 0.5625
I: 0.5735 0.9093 0.0625
I: 0.5736 0.9094 0.1849
I: 0.9093 0.5735 0.9375
I: 0.9094 0.5736 0.8151

***

No. 8
# K3HoI6
Theoretical XRD peak list, λ = 1.5418 Å (Cu Kα). Input: a crystal structure in Alexandria, relaxed with GGA-PBE.

Principal peaks in the range 10° ≤ 2θ ≤ 80°, in order of falling intensity:
2θ (°)	d [Å]	I_rel
24.53	3.629	100
32.45	2.759	66
12.20	7.255	61
23.50	3.785	54
14.40	6.152	53
23.36	3.809	49
43.39	2.085	47
24.21	3.676	41
36.50	2.462	40
24.39	3.649	37
29.03	3.076	35
31.56	2.835	33

Atomic structure:
Cell lengths 8.4012, 9.0351, 14.6888 Å; angles 90.00, 124.02, 90.00 degrees
Fractional coordinates of all 20 atoms:
K: 0.0000 0.0000 0.0000
K: 0.0000 0.5000 0.5000
K: 0.2082 0.0899 0.7453
K: 0.2082 0.4101 0.2453
K: 0.7918 0.5899 0.7547
K: 0.7918 0.9101 0.2547
Ho: 0.5000 0.0000 0.5000
Ho: 0.5000 0.5000 0.0000
I: 0.1459 0.1754 0.4383
I: 0.1459 0.3246 0.9383
I: 0.2641 0.7160 0.4255
I: 0.2641 0.7840 0.9255
I: 0.4078 0.0498 0.2708
I: 0.4078 0.4502 0.7708
I: 0.5922 0.5498 0.2292
I: 0.5922 0.9502 0.7292
I: 0.7359 0.2160 0.0745
I: 0.7359 0.2840 0.5745
I: 0.8541 0.6754 0.0617
I: 0.8541 0.8246 0.5617

***

No. 9
# KHoMnI6
Theoretical XRD peak list, λ = 1.5418 Å (Cu Kα). Input: a crystal structure in Alexandria, relaxed with GGA-PBE.

Principal peaks in the range 10° ≤ 2θ ≤ 80°, in order of falling intensity:
2θ (°)	d [Å]	I_rel
25.81	3.452	100
32.55	2.751	59
11.22	7.885	33
40.70	2.217	32
41.64	2.169	29
17.44	5.084	20
13.31	6.650	15
48.83	1.865	14
37.56	2.395	13
53.06	1.726	11
22.55	3.942	11
63.11	1.473	10

Atomic structure:
Cell lengths 7.6790, 7.6790, 15.7700 Å; angles 90.00, 90.00, 120.00 degrees
Fractional coordinates of all 18 atoms:
K: 0.0000 0.0000 0.0000
K: 0.0000 0.0000 0.5000
Ho: 0.3333 0.6667 0.2500
Ho: 0.6667 0.3333 0.7500
Mn: 0.3333 0.6667 0.7500
Mn: 0.6667 0.3333 0.2500
I: 0.0104 0.3732 0.6416
I: 0.0104 0.6371 0.8584
I: 0.3629 0.3732 0.8584
I: 0.3629 0.9896 0.6416
I: 0.3732 0.0104 0.1416
I: 0.3732 0.3629 0.3584
I: 0.6268 0.6371 0.6416
I: 0.6268 0.9896 0.8584
I: 0.6371 0.0104 0.3584
I: 0.6371 0.6268 0.1416
I: 0.9896 0.3629 0.1416
I: 0.9896 0.6268 0.3584

***

No. 10
# LiHoTl2I6
Theoretical XRD peak list, λ = 1.5418 Å (Cu Kα). Input: a crystal structure in Alexandria, relaxed with GGA-PBE.

Principal peaks in the range 10° ≤ 2θ ≤ 80°, in order of falling intensity:
2θ (°)	d [Å]	I_rel
25.65	3.473	100
26.03	3.423	88
30.63	2.919	82
30.97	2.887	82
25.77	3.458	79
31.35	2.853	53
24.90	3.577	45
17.02	5.209	45
38.69	2.327	44
33.54	2.672	44
38.43	2.343	42
34.41	2.607	40

Atomic structure:
Cell lengths 8.0288, 8.5014, 14.0040 Å; angles 90.00, 124.44, 90.00 degrees
Fractional coordinates of all 20 atoms:
Li: 0.0000 0.0000 0.0000
Li: 0.0000 0.5000 0.5000
Ho: 0.5000 0.0000 0.5000
Ho: 0.5000 0.5000 0.0000
Tl: 0.2138 0.0896 0.7452
Tl: 0.2138 0.4104 0.2452
Tl: 0.7862 0.5896 0.7548
Tl: 0.7862 0.9104 0.2548
I: 0.1420 0.1942 0.4495
I: 0.1420 0.3058 0.9495
I: 0.2613 0.6988 0.4500
I: 0.2613 0.8012 0.9500
I: 0.3536 0.0172 0.2482
I: 0.3536 0.4828 0.7482
I: 0.6464 0.5172 0.2518
I: 0.6464 0.9828 0.7518
I: 0.7387 0.1988 0.0500
I: 0.7387 0.3012 0.5500
I: 0.8580 0.6942 0.0505
I: 0.8580 0.8058 0.5505

***

No. 11
# Na3Ho3IO8
Theoretical XRD peak list, λ = 1.5418 Å (Cu Kα). Input: a crystal structure in Alexandria, relaxed with GGA-PBE.

Principal peaks in the range 10° ≤ 2θ ≤ 80°, in order of falling intensity:
2θ (°)	d [Å]	I_rel
15.82	5.602	100
37.86	2.376	44
31.93	2.802	34
31.81	2.813	34
30.96	2.888	33
52.60	1.740	32
35.13	2.554	27
29.40	3.038	18
39.98	2.255	14
49.78	1.832	12
64.75	1.440	11
64.54	1.444	10

Atomic structure:
Cell lengths 6.9746, 6.9746, 6.7037 Å; angles 118.67, 118.67, 57.78 degrees
Fractional coordinates of all 15 atoms:
Na: 0.0000 0.0000 0.0000
Na: 0.0000 0.5000 0.5000
Na: 0.5000 0.0000 0.5000
Ho: 0.0000 0.5000 0.0000
Ho: 0.5000 0.0000 0.0000
Ho: 0.5000 0.5000 0.5000
I: 0.0000 0.0000 0.5000
O: 0.2095 0.7435 0.2625
O: 0.2552 0.2552 0.7842
O: 0.2565 0.7905 0.7375
O: 0.2754 0.2754 0.2553
O: 0.7246 0.7246 0.7447
O: 0.7435 0.2095 0.2625
O: 0.7448 0.7448 0.2158
O: 0.7905 0.2565 0.7375

***

No. 12
# HoI3O9
Theoretical XRD peak list, λ = 1.5418 Å (Cu Kα). Input: a crystal structure in Alexandria, relaxed with GGA-PBE.

Principal peaks in the range 10° ≤ 2θ ≤ 80°, in order of falling intensity:
2θ (°)	d [Å]	I_rel
25.59	3.481	100
26.44	3.370	83
22.53	3.946	37
29.92	2.986	31
31.93	2.803	27
30.62	2.920	23
24.83	3.586	22
30.27	2.953	22
43.26	2.091	21
44.80	2.023	20
28.48	3.134	17
20.30	4.375	16

Atomic structure:
Cell lengths 8.8003, 6.2737, 16.7689 Å; angles 90.00, 114.75, 90.00 degrees
Fractional coordinates of all 52 atoms:
Ho: 0.1508 0.2289 0.1104
Ho: 0.1508 0.2711 0.6104
Ho: 0.8492 0.7289 0.3896
Ho: 0.8492 0.7711 0.8896
I: 0.0705 0.2062 0.3594
I: 0.0705 0.2938 0.8594
I: 0.3505 0.6492 0.5167
I: 0.3505 0.8508 0.0167
I: 0.4143 0.5859 0.8022
I: 0.4143 0.9141 0.3022
I: 0.5857 0.0859 0.6978
I: 0.5857 0.4141 0.1978
I: 0.6495 0.1492 0.9833
I: 0.6495 0.3508 0.4833
I: 0.9295 0.7062 0.1406
I: 0.9295 0.7938 0.6406
O: 0.0677 0.0255 0.6857
O: 0.0677 0.4745 0.1857
O: 0.0955 0.5878 0.6707
O: 0.0955 0.9122 0.1707
O: 0.1147 0.1580 0.4736
O: 0.1147 0.3420 0.9736
O: 0.1217 0.6660 0.4720
O: 0.1217 0.8340 0.9720
O: 0.3365 0.5728 0.8877
O: 0.3365 0.9272 0.3877
O: 0.3485 0.1824 0.2568
O: 0.3485 0.3176 0.7568
O: 0.3501 0.0574 0.9371
O: 0.3501 0.4426 0.4371
O: 0.3645 0.0151 0.6336
O: 0.3645 0.4849 0.1336
O: 0.3690 0.0218 0.1096
O: 0.3690 0.4782 0.6096
O: 0.6310 0.5218 0.3904
O: 0.6310 0.9782 0.8904
O: 0.6355 0.5151 0.8664
O: 0.6355 0.9849 0.3664
O: 0.6499 0.5574 0.5629
O: 0.6499 0.9426 0.0629
O: 0.6515 0.6824 0.2432
O: 0.6515 0.8176 0.7432
O: 0.6635 0.0728 0.6123
O: 0.6635 0.4272 0.1123
O: 0.8783 0.1660 0.0280
O: 0.8783 0.3340 0.5280
O: 0.8853 0.6580 0.0264
O: 0.8853 0.8420 0.5264
O: 0.9045 0.0878 0.8293
O: 0.9045 0.4122 0.3293
O: 0.9323 0.5255 0.8143
O: 0.9323 0.9745 0.3143